[1]
Computed XRD peak list of RbTl2Pb10 for Cu Ka, from the PBE geometry in Alexandria.

Main lines, low angle first (5 to 70 degrees two-theta):
d [Å], intensity
3.333, 27
2.903, 100
2.871, 40
2.859, 65
2.612, 27
2.595, 26
2.575, 100
2.556, 43
1.666, 27
1.644, 17

Cell and atoms:
```
RbTl2Pb10
1.0
0.000 8.130 8.275
3.287 0.000 8.275
3.287 8.130 0.000
Rb Tl Pb
1 2 10
Cartesian
0.000 0.000 0.000
1.643 0.000 4.137
1.643 8.130 4.137
1.643 4.065 0.000
3.287 2.922 5.344
3.287 6.319 6.425
3.287 2.922 11.206
3.287 9.941 6.425
1.643 4.065 8.275
3.287 6.319 10.124
3.287 13.339 5.344
3.287 9.941 10.124
3.287 13.339 11.206
```



[2]
Computed XRD peak list of Rb2Tl2Pb15 for Cu Ka, from the PBE geometry in Alexandria.

Main lines, low angle first (5 to 70 degrees two-theta):
d [Å], intensity
8.665, 17
5.791, 21
3.265, 16
2.891, 100
2.867, 26
2.839, 21
2.585, 82
2.570, 26
1.672, 19
1.660, 25

Cell and atoms:
```
Rb2Tl2Pb15
1.0
5.791 3.343 5.735
-5.791 3.343 5.735
0.000 -6.687 5.735
Rb Tl Pb
2 2 15
Cartesian
0.000 0.000 2.780
0.000 0.000 14.424
0.000 0.000 6.892
0.000 0.000 10.313
-2.895 -1.672 5.735
0.000 -3.392 5.488
-2.938 1.696 5.488
-1.718 -2.975 8.602
-3.436 0.000 8.602
-2.938 -1.696 11.716
-2.895 1.672 11.470
1.718 -2.975 8.602
0.000 3.343 5.735
-1.718 2.975 8.602
2.938 1.696 5.488
3.436 0.000 8.602
1.718 2.975 8.602
2.938 -1.696 11.716
0.000 3.392 11.716
```